1.
Starting from a structure optimized by DFT (GGA-PBE), the powder diffraction line list of Nb4RuC was computed for Cu Ka.
Intensities are scaled so that the largest is 100.

Cell and atoms:
a b c (Å): 6.7274 6.7274 6.7274
angles (deg): 106.04 106.04 116.58
Sites, in units of the cell vectors:
1 Nb 0.1948 0.2508 0.5560
2 Nb 0.1948 0.6388 0.9440
3 Nb 0.2508 0.1948 0.0560
4 Nb 0.3612 0.8052 0.5560
5 Nb 0.6388 0.1948 0.4440
6 Nb 0.7492 0.8052 0.9440
7 Nb 0.8052 0.3612 0.0560
8 Nb 0.8052 0.7492 0.4440
9 Ru 0.1250 0.8750 0.2500
10 Ru 0.8750 0.1250 0.7500
11 C 0.3750 0.6250 0.7500
12 C 0.6250 0.3750 0.2500

Top 10 peaks for 10° ≤ 2θ ≤ 80°, low angle first:
16.65°, intensity 37.0
21.96°, intensity 55.8
33.66°, intensity 95.4
35.62°, intensity 100.0
39.83°, intensity 61.8
42.24°, intensity 44.7
43.66°, intensity 42.6
44.79°, intensity 35.3
54.67°, intensity 36.3
58.49°, intensity 31.2

2.
Starting from a structure optimized by DFT (GGA-PBE), the powder diffraction line list of TaGa3Re was computed for Cu Ka.
Intensities are scaled so that the largest is 100.

Cell and atoms:
a b c (Å): 4.7176 4.7176 4.7176
angles (deg): 90.00 90.00 90.00
Sites, in units of the cell vectors:
1 Ta 0.0000 0.0000 0.0000
2 Ga 0.0000 0.5000 0.5000
3 Ga 0.5000 0.0000 0.5000
4 Ga 0.5000 0.5000 0.0000
5 Re 0.5000 0.5000 0.5000

Top 10 peaks for 10° ≤ 2θ ≤ 80°, low angle first:
18.81°, intensity 8.9
26.72°, intensity 100.0
32.88°, intensity 22.1
38.15°, intensity 80.8
47.19°, intensity 44.0
55.06°, intensity 55.7
62.23°, intensity 19.6
65.64°, intensity 8.5
68.96°, intensity 18.8
75.39°, intensity 22.7

3.
Starting from a structure optimized by DFT (GGA-PBE), the powder diffraction line list of K3Ac3SnSe8 was computed for Cu Ka.
Intensities are scaled so that the largest is 100.

Cell and atoms:
a b c (Å): 9.4025 9.4025 9.4025
angles (deg): 56.64 56.64 56.64
Sites, in units of the cell vectors:
1 K 0.0000 0.5000 0.5000
2 K 0.5000 0.0000 0.5000
3 K 0.5000 0.5000 0.0000
4 Ac 0.0000 0.0000 0.5000
5 Ac 0.0000 0.5000 0.0000
6 Ac 0.5000 0.0000 0.0000
7 Sn 0.5000 0.5000 0.5000
8 Se 0.2393 0.2393 0.2393
9 Se 0.2681 0.7173 0.7173
10 Se 0.2827 0.2827 0.7319
11 Se 0.2827 0.7319 0.2827
12 Se 0.7173 0.2681 0.7173
13 Se 0.7173 0.7173 0.2681
14 Se 0.7319 0.2827 0.2827
15 Se 0.7607 0.7607 0.7607

Top 10 peaks for 10° ≤ 2θ ≤ 80°, low angle first:
11.25°, intensity 78.8
23.33°, intensity 24.2
27.60°, intensity 100.0
35.34°, intensity 24.9
38.40°, intensity 35.0
40.44°, intensity 35.7
42.11°, intensity 19.8
48.54°, intensity 13.6
49.66°, intensity 18.5
65.90°, intensity 15.9

4.
Starting from a structure optimized by DFT (GGA-PBE), the powder diffraction line list of NbGa6 was computed for Cu Ka.
Intensities are scaled so that the largest is 100.

Cell and atoms:
a b c (Å): 6.0571 6.0571 6.0571
angles (deg): 109.47 109.47 109.47
Sites, in units of the cell vectors:
1 Nb 0.0000 0.0000 0.0000
2 Ga 0.2500 0.5000 0.7500
3 Ga 0.2500 0.7500 0.5000
4 Ga 0.5000 0.2500 0.7500
5 Ga 0.5000 0.7500 0.2500
6 Ga 0.7500 0.2500 0.5000
7 Ga 0.7500 0.5000 0.2500

Top 10 peaks for 10° ≤ 2θ ≤ 80°, low angle first:
17.94°, intensity 8.3
25.47°, intensity 42.8
31.33°, intensity 100.0
44.89°, intensity 24.7
48.71°, intensity 56.9
52.32°, intensity 28.0
59.07°, intensity 15.7
62.26°, intensity 13.3
74.27°, intensity 15.5
77.15°, intensity 17.0

5.
Starting from a structure optimized by DFT (GGA-PBE), the powder diffraction line list of DyMg2V3S8 was computed for Cu Ka.
Intensities are scaled so that the largest is 100.

Cell and atoms:
a b c (Å): 7.4565 7.4565 7.4565
angles (deg): 59.08 59.08 59.08
Sites, in units of the cell vectors:
1 Dy 0.0000 0.0000 0.0000
2 Mg 0.3734 0.3734 0.3734
3 Mg 0.6266 0.6266 0.6266
4 V 0.0000 0.0000 0.5000
5 V 0.0000 0.5000 0.0000
6 V 0.5000 0.0000 0.0000
7 S 0.2231 0.7450 0.7450
8 S 0.2381 0.2381 0.2381
9 S 0.2550 0.2550 0.7769
10 S 0.2550 0.7769 0.2550
11 S 0.7450 0.2231 0.7450
12 S 0.7450 0.7450 0.2231
13 S 0.7619 0.7619 0.7619
14 S 0.7769 0.2550 0.2550

Top 10 peaks for 10° ≤ 2θ ≤ 80°, low angle first:
14.72°, intensity 100.0
16.94°, intensity 22.2
24.21°, intensity 23.4
28.02°, intensity 33.7
28.31°, intensity 74.9
34.26°, intensity 95.2
45.01°, intensity 23.7
45.21°, intensity 20.9
48.87°, intensity 41.6
49.59°, intensity 45.9

6.
Starting from a structure optimized by DFT (GGA-PBE), the powder diffraction line list of PuHg3Bi was computed for Cu Ka.
Intensities are scaled so that the largest is 100.

Cell and atoms:
a b c (Å): 5.4374 8.6681 6.5164
angles (deg): 90.00 90.00 90.00
Sites, in units of the cell vectors:
1 Pu 0.2500 0.2500 0.1973
2 Pu 0.7500 0.7500 0.8027
3 Hg 0.2500 0.5771 0.9622
4 Hg 0.2500 0.7500 0.5214
5 Hg 0.2500 0.9229 0.9622
6 Hg 0.7500 0.0771 0.0378
7 Hg 0.7500 0.2500 0.4786
8 Hg 0.7500 0.4229 0.0378
9 Bi 0.2500 0.2500 0.6997
10 Bi 0.7500 0.7500 0.3003

Top 10 peaks for 10° ≤ 2θ ≤ 80°, low angle first:
20.49°, intensity 28.6
24.67°, intensity 35.9
32.95°, intensity 57.0
33.69°, intensity 100.0
35.17°, intensity 36.0
37.87°, intensity 51.9
38.32°, intensity 25.2
41.59°, intensity 19.0
59.31°, intensity 20.4
63.11°, intensity 20.5

7.
Starting from a structure optimized by DFT (GGA-PBE), the powder diffraction line list of La6NdDy2 was computed for Cu Ka.
Intensities are scaled so that the largest is 100.

Cell and atoms:
a b c (Å): 10.2024 10.2024 3.7048
angles (deg): 90.00 90.00 124.21
Sites, in units of the cell vectors:
1 La 0.0068 0.3381 0.0000
2 La 0.1747 0.1747 0.5000
3 La 0.3381 0.0068 0.0000
4 La 0.6619 0.9932 0.0000
5 La 0.8253 0.8253 0.5000
6 La 0.9932 0.6619 0.0000
7 Nd 0.5000 0.5000 0.0000
8 Dy 0.3233 0.6767 0.5000
9 Dy 0.6767 0.3233 0.5000

Top 10 peaks for 10° ≤ 2θ ≤ 80°, low angle first:
28.48°, intensity 55.4
29.72°, intensity 57.1
29.83°, intensity 100.0
32.16°, intensity 49.0
36.61°, intensity 24.9
37.70°, intensity 31.4
51.15°, intensity 16.3
52.82°, intensity 18.1
56.33°, intensity 23.9
58.53°, intensity 16.7

8.
Starting from a structure optimized by DFT (GGA-PBE), the powder diffraction line list of DyY4S7 was computed for Cu Ka.
Intensities are scaled so that the largest is 100.

Cell and atoms:
a b c (Å): 6.7193 6.7193 11.6342
angles (deg): 104.00 104.00 33.00
Sites, in units of the cell vectors:
1 Dy 0.0000 0.0000 0.0000
2 Y 0.1119 0.1119 0.4212
3 Y 0.2237 0.2237 0.8427
4 Y 0.4121 0.4121 0.6092
5 Y 0.8117 0.8117 0.2336
6 S 0.0701 0.0701 0.6362
7 S 0.1535 0.1535 0.2060
8 S 0.3716 0.3716 0.0686
9 S 0.4528 0.4528 0.3700
10 S 0.6115 0.6115 0.9214
11 S 0.7710 0.7710 0.4726
12 S 0.8528 0.8528 0.7743

Top 10 peaks for 10° ≤ 2θ ≤ 80°, low angle first:
23.82°, intensity 77.6
24.40°, intensity 100.0
26.22°, intensity 29.9
31.45°, intensity 53.0
33.10°, intensity 63.9
34.17°, intensity 36.3
38.94°, intensity 34.0
43.36°, intensity 33.1
45.82°, intensity 31.0
47.65°, intensity 30.2